For Ba2PuN3, a crystal structure in Alexandria, relaxed with GGA-PBE gives the computed powder diffractogram in this record (λ = 1.5418 Å (Cu Kα)).
Lines closer than 0.1° are merged.

Structure:
a = 7.556 Å, b = 7.556 Å, c = 6.049 Å
α = 90.00°, β = 90.00°, γ = 132.03°
Element x y z (fractional)
Ba1 0.100 0.900 0.764
Ba2 0.400 0.600 0.764
Ba3 0.600 0.400 0.236
Ba4 0.900 0.100 0.236
Pu1 0.250 0.750 0.250
Pu2 0.750 0.250 0.750
N1 0.000 0.500 0.000
N2 0.108 0.892 0.268
N3 0.392 0.608 0.268
N4 0.500 0.000 0.000
N5 0.608 0.392 0.732
N6 0.892 0.108 0.732

Top 6 peaks for 10 to 80 degrees two-theta, by angle:
2θ (°)  Rel. int.
28.37  100
29.07  30
29.53  28
41.92  24
51.10  20
51.68  19

For Ba2PuRe2N6, a crystal structure in Alexandria, relaxed with GGA-PBE gives the computed powder diffractogram in this record (λ = 1.5418 Å (Cu Kα)).
Lines closer than 0.1° are merged.

Structure:
a = 6.230 Å, b = 6.230 Å, c = 7.233 Å
α = 118.88°, β = 118.88°, γ = 58.89°
Element x y z (fractional)
Ba1 0.214 0.214 0.188
Ba2 0.786 0.786 0.812
Pu1 0.000 0.000 0.500
Re1 0.457 0.457 0.797
Re2 0.543 0.543 0.203
N1 0.214 0.706 0.240
N2 0.257 0.257 0.646
N3 0.294 0.786 0.760
N4 0.706 0.214 0.240
N5 0.743 0.743 0.354
N6 0.786 0.294 0.760

Top 6 peaks for 10 to 80 degrees two-theta, by angle:
2θ (°)  Rel. int.
19.67  22
26.28  38
28.71  100
29.16  54
29.43  62
51.42  21

For BaPuTcN4, a crystal structure in Alexandria, relaxed with GGA-PBE gives the computed powder diffractogram in this record (λ = 1.5418 Å (Cu Kα)).
Lines closer than 0.1° are merged.

Structure:
a = 5.998 Å, b = 5.875 Å, c = 7.457 Å
α = 90.00°, β = 106.69°, γ = 90.00°
Element x y z (fractional)
Ba1 0.216 0.250 0.426
Ba2 0.784 0.750 0.574
Pu1 0.295 0.250 0.950
Pu2 0.705 0.750 0.050
Tc1 0.245 0.750 0.164
Tc2 0.755 0.250 0.836
N1 0.040 0.750 0.935
N2 0.059 0.750 0.323
N3 0.450 0.507 0.191
N4 0.450 0.993 0.191
N5 0.550 0.007 0.809
N6 0.550 0.493 0.809
N7 0.941 0.250 0.677
N8 0.960 0.250 0.065

Top 6 peaks for 10 to 80 degrees two-theta, by angle:
2θ (°)  Rel. int.
12.39  91
21.63  100
29.26  80
29.58  60
30.43  82
37.35  63

For BaPuThN3, a crystal structure in Alexandria, relaxed with GGA-PBE gives the computed powder diffractogram in this record (λ = 1.5418 Å (Cu Kα)).
Lines closer than 0.1° are merged.

Structure:
a = 7.908 Å, b = 3.825 Å, c = 9.181 Å
α = 90.00°, β = 96.63°, γ = 90.00°
Element x y z (fractional)
Ba1 0.159 0.250 0.154
Ba2 0.841 0.750 0.846
Pu1 0.099 0.250 0.606
Pu2 0.901 0.750 0.394
Th1 0.377 0.750 0.852
Th2 0.623 0.250 0.148
N1 0.151 0.250 0.844
N2 0.221 0.750 0.601
N3 0.423 0.750 0.109
N4 0.577 0.250 0.891
N5 0.779 0.250 0.399
N6 0.849 0.750 0.156

Top 6 peaks for 10 to 80 degrees two-theta, by angle:
2θ (°)  Rel. int.
14.00  100
28.21  84
30.51  76
31.74  31
32.68  79
49.95  27

For RbBaN3, a crystal structure in Alexandria, relaxed with GGA-PBE gives the computed powder diffractogram in this record (λ = 1.5418 Å (Cu Kα)).
Lines closer than 0.1° are merged.

Structure:
a = 15.512 Å, b = 15.205 Å, c = 6.701 Å
α = 79.97°, β = 74.86°, γ = 25.18°
Element x y z (fractional)
Rb1 0.052 0.052 0.198
Rb2 0.198 0.198 0.052
Rb3 0.802 0.802 0.948
Rb4 0.948 0.948 0.802
Ba1 0.302 0.302 0.448
Ba2 0.448 0.448 0.302
Ba3 0.552 0.552 0.698
Ba4 0.698 0.698 0.552
N1 0.000 0.474 0.716
N2 0.000 0.526 0.284
N3 0.162 0.588 0.588
N4 0.284 0.689 0.000
N5 0.311 0.716 0.474
N6 0.412 0.838 0.838
N7 0.474 0.000 0.311
N8 0.526 0.000 0.689
N9 0.588 0.162 0.162
N10 0.689 0.284 0.526
N11 0.716 0.311 0.000
N12 0.838 0.412 0.412

Top 6 peaks for 10 to 80 degrees two-theta, by angle:
2θ (°)  Rel. int.
18.07  100
21.96  47
25.03  65
27.22  57
28.00  88
36.86  87

For Ba2ReN5, a crystal structure in Alexandria, relaxed with GGA-PBE gives the computed powder diffractogram in this record (λ = 1.5418 Å (Cu Kα)).
Lines closer than 0.1° are merged.

Structure:
a = 6.180 Å, b = 6.180 Å, c = 6.180 Å
α = 119.35°, β = 119.35°, γ = 91.13°
Element x y z (fractional)
Ba1 0.000 0.500 0.500
Ba2 0.500 0.000 0.500
Re1 0.239 0.239 0.000
N1 0.033 0.033 0.000
N2 0.106 0.106 0.586
N3 0.106 0.520 0.000
N4 0.520 0.106 0.000
N5 0.520 0.520 0.414

Top 6 peaks for 10 to 80 degrees two-theta, by angle:
2θ (°)  Rel. int.
17.52  72
28.61  46
28.90  100
33.74  22
40.90  25
50.85  41

For Ba2SmReN4, a crystal structure in Alexandria, relaxed with GGA-PBE gives the computed powder diffractogram in this record (λ = 1.5418 Å (Cu Kα)).
Lines closer than 0.1° are merged.

Structure:
a = 12.296 Å, b = 11.111 Å, c = 6.808 Å
α = 82.93°, β = 63.74°, γ = 33.33°
Element x y z (fractional)
Ba1 0.062 0.062 0.688
Ba2 0.312 0.312 0.938
Ba3 0.688 0.688 0.062
Ba4 0.938 0.938 0.312
Sm1 0.125 0.125 0.125
Sm2 0.875 0.875 0.875
Re1 0.375 0.375 0.375
Re2 0.625 0.625 0.625
N1 0.049 0.615 0.519
N2 0.317 0.519 0.615
N3 0.385 0.951 0.683
N4 0.481 0.683 0.951
N5 0.519 0.317 0.049
N6 0.615 0.049 0.317
N7 0.683 0.481 0.385
N8 0.951 0.385 0.481

Top 6 peaks for 10 to 80 degrees two-theta, by angle:
2θ (°)  Rel. int.
16.59  91
20.51  62
29.05  100
29.31  92
32.84  89
38.87  46

For Ba2SrReN4, a crystal structure in Alexandria, relaxed with GGA-PBE gives the computed powder diffractogram in this record (λ = 1.5418 Å (Cu Kα)).
Lines closer than 0.1° are merged.

Structure:
a = 8.153 Å, b = 7.490 Å, c = 5.837 Å
α = 90.00°, β = 90.00°, γ = 90.00°
Element x y z (fractional)
Ba1 0.246 0.163 0.000
Ba2 0.254 0.837 0.500
Ba3 0.746 0.837 0.500
Ba4 0.754 0.163 0.000
Sr1 0.000 0.359 0.512
Sr2 0.500 0.641 0.012
Re1 0.000 0.657 0.048
Re2 0.500 0.343 0.548
N1 0.000 0.419 0.960
N2 0.000 0.659 0.363
N3 0.190 0.775 0.964
N4 0.310 0.225 0.464
N5 0.500 0.341 0.863
N6 0.500 0.581 0.460
N7 0.690 0.225 0.464
N8 0.810 0.775 0.964

Top 6 peaks for 10 to 80 degrees two-theta, by angle:
2θ (°)  Rel. int.
24.87  46
28.31  68
29.26  100
30.63  39
42.46  32
53.57  42

For BaReTe2N, a crystal structure in Alexandria, relaxed with GGA-PBE gives the computed powder diffractogram in this record (λ = 1.5418 Å (Cu Kα)).
Lines closer than 0.1° are merged.

Structure:
a = 5.765 Å, b = 5.765 Å, c = 3.848 Å
α = 90.00°, β = 90.00°, γ = 90.00°
Element x y z (fractional)
Ba1 0.000 0.000 0.000
Re1 0.500 0.500 0.500
Te1 0.000 0.500 0.500
Te2 0.500 0.000 0.500
N1 0.500 0.500 0.000

Top 6 peaks for 10 to 80 degrees two-theta, by angle:
2θ (°)  Rel. int.
27.87  71
31.02  100
39.04  27
42.19  47
44.45  37
57.60  34

For Ba2ThReN4, a crystal structure in Alexandria, relaxed with GGA-PBE gives the computed powder diffractogram in this record (λ = 1.5418 Å (Cu Kα)).
Lines closer than 0.1° are merged.

Structure:
a = 5.891 Å, b = 5.891 Å, c = 5.891 Å
α = 115.06°, β = 115.06°, γ = 98.79°
Element x y z (fractional)
Ba1 0.000 0.000 0.000
Ba2 0.750 0.250 0.500
Th1 0.500 0.500 0.000
Re1 0.250 0.750 0.500
N1 0.163 0.070 0.579
N2 0.416 0.837 0.907
N3 0.491 0.584 0.421
N4 0.930 0.509 0.093

Top 6 peaks for 10 to 80 degrees two-theta, by angle:
2θ (°)  Rel. int.
28.22  54
30.72  100
40.33  26
51.54  47
56.10  19
63.97  12

For Ba2URe2N6, a crystal structure in Alexandria, relaxed with GGA-PBE gives the computed powder diffractogram in this record (λ = 1.5418 Å (Cu Kα)).
Lines closer than 0.1° are merged.

Structure:
a = 6.172 Å, b = 6.172 Å, c = 7.040 Å
α = 118.66°, β = 118.66°, γ = 59.78°
Element x y z (fractional)
Ba1 0.215 0.215 0.185
Ba2 0.785 0.785 0.815
U1 0.000 0.000 0.500
Re1 0.453 0.453 0.800
Re2 0.547 0.547 0.200
N1 0.220 0.719 0.249
N2 0.243 0.243 0.647
N3 0.281 0.780 0.751
N4 0.719 0.220 0.249
N5 0.757 0.757 0.353
N6 0.780 0.281 0.751

Top 6 peaks for 10 to 80 degrees two-theta, by angle:
2θ (°)  Rel. int.
26.63  22
28.99  100
30.04  36
51.27  15
51.42  14
56.99  14

For BaZn2ReN4, a crystal structure in Alexandria, relaxed with GGA-PBE gives the computed powder diffractogram in this record (λ = 1.5418 Å (Cu Kα)).
Lines closer than 0.1° are merged.

Structure:
a = 5.513 Å, b = 5.513 Å, c = 5.513 Å
α = 119.20°, β = 119.20°, γ = 91.38°
Element x y z (fractional)
Ba1 0.000 0.000 0.000
Zn1 0.250 0.750 0.500
Zn2 0.750 0.250 0.500
Re1 0.500 0.500 0.000
N1 0.165 0.540 0.000
N2 0.460 0.460 0.625
N3 0.540 0.165 0.000
N4 0.835 0.835 0.375

Top 6 peaks for 10 to 80 degrees two-theta, by angle:
2θ (°)  Rel. int.
22.54  19
32.09  43
32.49  100
46.01  21
57.46  39
58.22  21